# EuAu3
Calculated powder diffractogram, a wavelength of 1.5418 Å. Input: the PBE geometry in the Materials Project.

```
data_EuAu3
_symmetry_space_group_name_H-M 'F m -3 m'
_symmetry_Int_Tables_number 225
_symmetry_space_group_name_Hall '-F 4 2 3'
_cell_length_a 7.0878
_cell_length_b 7.0878
_cell_length_c 7.0878
_cell_angle_alpha 90.00
_cell_angle_beta 90.00
_cell_angle_gamma 90.00
loop_
_atom_site_label
_atom_site_fract_x
_atom_site_fract_y
_atom_site_fract_z
Eu1 0.0000 0.0000 0.0000
Au1 0.0000 0.0000 0.5000
Au2 0.2500 0.2500 0.2500
```

Largest 5 diffraction maxima, by angle, 2θ = 10–80°:
- 2θ 21.7, intensity 8, hkl 1 1 1
- 2θ 35.8, intensity 1000, hkl 2 2 0
- 2θ 51.6, intensity 179, hkl 4 0 0
- 2θ 64.4, intensity 370, hkl 4 2 2
- 2θ 75.9, intensity 117, hkl 4 4 0